Rb3Hg4Au3: computed X-ray diffraction stick pattern (Cu Ka), based on a cell relaxed with GGA-PBE.
Intensities are scaled so that the largest is 100.

```
data_Rb3Hg4Au3
_cell_length_a 11.1413
_cell_length_b 11.1413
_cell_length_c 11.1413
_cell_angle_alpha 90.00
_cell_angle_beta 90.00
_cell_angle_gamma 90.00
_space_group_name_H-M_alt 'I -4 3 d'
_space_group_IT_number 220
_space_group_name_Hall 'I -4bd 2c 3'
loop_
_atom_site_label
_atom_site_type_symbol
_atom_site_fract_x
_atom_site_fract_y
_atom_site_fract_z
Rb1 Rb 0.0000 0.2500 0.3750
Hg1 Hg 0.0719 0.0719 0.0719
Au1 Au 0.0000 0.2500 0.8750
```

Top 6 peaks for 10° ≤ 2θ ≤ 90°, in order of rising 2θ:
19.52°, I = 54
30.01°, I = 100
36.05°, I = 31
37.88°, I = 20
39.63°, I = 21
41.32°, I = 48